Entry 1:
CsKCd2BiSb: theoretical XRD peak list (a wavelength of 1.5418 Å), based on the GGA-PBE geometry in OQMD.
No peak broadening, texture or thermal motion is included.

The 10 most intense peaks (2θ = 15–90°), sorted by position:
2θ (°), d (Å), intensity
15.89, 5.579, 349
22.21, 4.003, 181
26.21, 3.400, 1000
32.09, 2.790, 202
36.29, 2.476, 562
39.84, 2.263, 221
43.93, 2.061, 110
45.31, 2.001, 224
49.21, 1.852, 360
59.38, 1.556, 198

Structural model:
```
data_CsKCd2BiSb
_symmetry_space_group_name_H-M 'P 1'
_symmetry_Int_Tables_number 1
_cell_length_a 4.9515
_cell_length_b 4.9515
_cell_length_c 11.1580
_cell_angle_alpha 90.00
_cell_angle_beta 90.00
_cell_angle_gamma 120.00
loop_
_symmetry_equiv_pos_as_xyz
'x,y,z'
loop_
_atom_site_label
_atom_site_type_symbol
_atom_site_fract_x
_atom_site_fract_y
_atom_site_fract_z
Cs1 Cs 0.0000 0.0000 0.0000
K1 K 0.0000 0.0000 0.5088
Cd1 Cd 0.3333 0.6667 0.7259
Cd2 Cd 0.6667 0.3333 0.2927
Bi1 Bi 0.3333 0.6667 0.2625
Sb1 Sb 0.6667 0.3333 0.7416
```

Entry 2:
Cs2SrCdBi2: theoretical XRD peak list (a wavelength of 1.5418 Å), based on the GGA-PBE geometry in OQMD.
No peak broadening, texture or thermal motion is included.

The 10 most intense peaks (2θ = 15–90°), sorted by position:
2θ (°), d (Å), intensity
19.13, 4.639, 304
23.50, 3.786, 459
25.40, 3.506, 1000
30.47, 2.934, 849
33.47, 2.678, 887
42.47, 2.128, 642
48.05, 1.893, 406
55.12, 1.666, 389
57.98, 1.591, 277
76.09, 1.251, 307

Structural model:
```
data_Cs2SrCdBi2
_symmetry_space_group_name_H-M 'P 1'
_symmetry_Int_Tables_number 1
_cell_length_a 5.3547
_cell_length_b 5.3547
_cell_length_c 9.2801
_cell_angle_alpha 90.00
_cell_angle_beta 90.00
_cell_angle_gamma 90.00
loop_
_symmetry_equiv_pos_as_xyz
'x,y,z'
loop_
_atom_site_label
_atom_site_type_symbol
_atom_site_fract_x
_atom_site_fract_y
_atom_site_fract_z
Cs1 Cs 0.0000 0.5000 0.1471
Cs2 Cs 0.5000 0.0000 0.8529
Sr1 Sr 0.5000 0.5000 0.5000
Cd1 Cd 0.0000 0.0000 0.5000
Bi1 Bi 0.0000 0.5000 0.7041
Bi2 Bi 0.5000 0.0000 0.2959
```

Entry 3:
RbCdGaBi2: theoretical XRD peak list (a wavelength of 1.5418 Å), based on the GGA-PBE geometry in OQMD.
No peak broadening, texture or thermal motion is included.

The 10 most intense peaks (2θ = 15–90°), sorted by position:
2θ (°), d (Å), intensity
19.23, 4.615, 556
25.80, 3.453, 322
26.30, 3.389, 987
28.78, 3.102, 368
36.40, 2.468, 741
36.79, 2.443, 1000
45.80, 1.981, 451
53.02, 1.727, 479
65.23, 1.430, 241
66.03, 1.415, 265

Structural model:
```
data_RbCdGaBi2
_symmetry_space_group_name_H-M 'P 1'
_symmetry_Int_Tables_number 1
_cell_length_a 7.8580
_cell_length_b 7.8580
_cell_length_c 7.8580
_cell_angle_alpha 143.79
_cell_angle_beta 143.79
_cell_angle_gamma 52.14
loop_
_symmetry_equiv_pos_as_xyz
'x,y,z'
loop_
_atom_site_label
_atom_site_type_symbol
_atom_site_fract_x
_atom_site_fract_y
_atom_site_fract_z
Rb1 Rb 0.0000 0.0000 0.0000
Cd1 Cd 0.7500 0.2500 0.5000
Ga1 Ga 0.2500 0.7500 0.5000
Bi1 Bi 0.3731 0.3731 0.0000
Bi2 Bi 0.6269 0.6269 0.0000
```

Entry 4:
K2Cd2BiSb: theoretical XRD peak list (a wavelength of 1.5418 Å), based on the GGA-PBE geometry in OQMD.
No peak broadening, texture or thermal motion is included.

The 10 most intense peaks (2θ = 15–90°), sorted by position:
2θ (°), d (Å), intensity
21.06, 4.219, 621
27.95, 3.192, 256
28.06, 3.180, 264
33.63, 2.665, 1000
36.82, 2.441, 504
37.07, 2.425, 185
41.58, 2.172, 220
42.80, 2.113, 231
53.05, 1.726, 172
64.30, 1.449, 297

Structural model:
```
data_K2Cd2BiSb
_symmetry_space_group_name_H-M 'P 1'
_symmetry_Int_Tables_number 1
_cell_length_a 4.8825
_cell_length_b 4.8825
_cell_length_c 8.3815
_cell_angle_alpha 90.00
_cell_angle_beta 90.00
_cell_angle_gamma 90.00
loop_
_symmetry_equiv_pos_as_xyz
'x,y,z'
loop_
_atom_site_label
_atom_site_type_symbol
_atom_site_fract_x
_atom_site_fract_y
_atom_site_fract_z
K1 K 0.0000 0.0000 0.0000
K2 K 0.5000 0.5000 0.3181
Cd1 Cd 0.0000 0.5000 0.6524
Cd2 Cd 0.5000 0.0000 0.6524
Bi1 Bi 0.5000 0.5000 0.8729
Sb1 Sb 0.0000 0.0000 0.4427
```

Entry 5:
Li4CdBiPt2: theoretical XRD peak list (a wavelength of 1.5418 Å), based on the GGA-PBE geometry in OQMD.
No peak broadening, texture or thermal motion is included.

The 10 most intense peaks (2θ = 15–90°), sorted by position:
2θ (°), d (Å), intensity
24.07, 3.698, 1000
39.41, 2.286, 313
40.00, 2.254, 600
46.71, 1.945, 348
47.74, 1.905, 164
56.96, 1.617, 108
63.57, 1.464, 140
71.87, 1.314, 217
73.05, 1.295, 103
76.65, 1.243, 82

Structural model:
```
data_Li4CdBiPt2
_symmetry_space_group_name_H-M 'P 1'
_symmetry_Int_Tables_number 1
_cell_length_a 4.5726
_cell_length_b 4.5726
_cell_length_c 6.2871
_cell_angle_alpha 90.00
_cell_angle_beta 90.00
_cell_angle_gamma 90.00
loop_
_symmetry_equiv_pos_as_xyz
'x,y,z'
loop_
_atom_site_label
_atom_site_type_symbol
_atom_site_fract_x
_atom_site_fract_y
_atom_site_fract_z
Li1 Li 0.0000 0.0000 0.0000
Li2 Li 0.0000 0.5000 0.7270
Li3 Li 0.5000 0.0000 0.2730
Li4 Li 0.5000 0.5000 0.5000
Cd1 Cd 0.0000 0.0000 0.5000
Bi1 Bi 0.5000 0.5000 0.0000
Pt1 Pt 0.0000 0.5000 0.2518
Pt2 Pt 0.5000 0.0000 0.7482
```

Entry 6:
Li2Cd2BiSb: theoretical XRD peak list (a wavelength of 1.5418 Å), based on the GGA-PBE geometry in OQMD.
No peak broadening, texture or thermal motion is included.

The 10 most intense peaks (2θ = 15–90°), sorted by position:
2θ (°), d (Å), intensity
22.87, 3.888, 1000
37.79, 2.381, 865
44.63, 2.030, 514
54.51, 1.684, 147
59.87, 1.545, 212
68.23, 1.375, 296
72.97, 1.297, 78
73.04, 1.295, 79
80.72, 1.190, 93
85.24, 1.139, 106

Structural model:
```
data_Li2Cd2BiSb
_symmetry_space_group_name_H-M 'P 1'
_symmetry_Int_Tables_number 1
_cell_length_a 11.6627
_cell_length_b 4.7596
_cell_length_c 11.6636
_cell_angle_alpha 90.00
_cell_angle_beta 109.38
_cell_angle_gamma 90.00
loop_
_symmetry_equiv_pos_as_xyz
'x,y,z'
loop_
_atom_site_label
_atom_site_type_symbol
_atom_site_fract_x
_atom_site_fract_y
_atom_site_fract_z
Li1 Li 0.0000 0.0000 0.0000
Li2 Li 0.1195 0.5000 0.3698
Li3 Li 0.2484 0.0000 0.7454
Li4 Li 0.3776 0.5000 0.1264
Li5 Li 0.5033 0.0000 0.5055
Li6 Li 0.6243 0.5000 0.8765
Li7 Li 0.7440 0.0000 0.2520
Li8 Li 0.8741 0.5000 0.6307
Cd1 Cd 0.1187 0.5000 0.6190
Cd2 Cd 0.2539 0.0000 0.9985
Cd3 Cd 0.3739 0.5000 0.3767
Cd4 Cd 0.5044 0.0000 0.7570
Cd5 Cd 0.6258 0.5000 0.1231
Cd6 Cd 0.7550 0.0000 0.5067
Cd7 Cd 0.8709 0.5000 0.8780
Cd8 Cd 0.9910 0.0000 0.2479
Bi1 Bi 0.1229 0.5000 0.8731
Bi2 Bi 0.2458 0.0000 0.2488
Bi3 Bi 0.3750 0.5000 0.6287
Bi4 Bi 0.6262 0.5000 0.3770
Sb1 Sb 0.5023 0.0000 0.0032
Sb2 Sb 0.7509 0.0000 0.7533
Sb3 Sb 0.8724 0.5000 0.1249
Sb4 Sb 0.9985 0.0000 0.4977
```

Entry 7:
CdBi2O: theoretical XRD peak list (a wavelength of 1.5418 Å), based on the GGA-PBE geometry in OQMD.
No peak broadening, texture or thermal motion is included.

The 10 most intense peaks (2θ = 15–90°), sorted by position:
2θ (°), d (Å), intensity
16.22, 5.465, 318
22.37, 3.974, 195
26.03, 3.423, 1000
31.18, 2.869, 301
33.70, 2.659, 430
34.91, 2.570, 430
35.45, 2.532, 177
37.61, 2.391, 325
45.66, 1.987, 214
52.04, 1.757, 269

Structural model:
```
data_CdBi2O
_symmetry_space_group_name_H-M 'P 1'
_symmetry_Int_Tables_number 1
_cell_length_a 5.4647
_cell_length_b 6.7410
_cell_length_c 5.7883
_cell_angle_alpha 90.00
_cell_angle_beta 90.00
_cell_angle_gamma 90.00
loop_
_symmetry_equiv_pos_as_xyz
'x,y,z'
loop_
_atom_site_label
_atom_site_type_symbol
_atom_site_fract_x
_atom_site_fract_y
_atom_site_fract_z
Cd1 Cd 0.0000 0.2196 0.2500
Cd2 Cd 0.0000 0.7804 0.7500
Bi1 Bi 0.3438 0.5000 0.0000
Bi2 Bi 0.5000 0.0955 0.7500
Bi3 Bi 0.5000 0.9045 0.2500
Bi4 Bi 0.6562 0.5000 0.5000
O1 O 0.1732 0.0000 0.5000
O2 O 0.8268 0.0000 0.0000
```

Entry 8:
CdBiSbO: theoretical XRD peak list (a wavelength of 1.5418 Å), based on the GGA-PBE geometry in OQMD.
No peak broadening, texture or thermal motion is included.

The 10 most intense peaks (2θ = 15–90°), sorted by position:
2θ (°), d (Å), intensity
23.51, 3.784, 186
25.14, 3.542, 410
27.39, 3.256, 129
28.14, 3.171, 273
29.54, 3.023, 253
33.32, 2.689, 122
33.63, 2.665, 1000
35.72, 2.514, 190
36.80, 2.442, 140
44.12, 2.053, 288

Structural model:
```
data_CdBiSbO
_symmetry_space_group_name_H-M 'P 1'
_symmetry_Int_Tables_number 1
_cell_length_a 10.0555
_cell_length_b 19.5364
_cell_length_c 4.1046
_cell_angle_alpha 90.00
_cell_angle_beta 90.00
_cell_angle_gamma 90.00
loop_
_symmetry_equiv_pos_as_xyz
'x,y,z'
loop_
_atom_site_label
_atom_site_type_symbol
_atom_site_fract_x
_atom_site_fract_y
_atom_site_fract_z
Cd1 Cd 0.0452 0.0762 0.0000
Cd2 Cd 0.0790 0.6160 0.0000
Cd3 Cd 0.4210 0.1160 0.0000
Cd4 Cd 0.4548 0.5762 0.0000
Cd5 Cd 0.5452 0.4238 0.0000
Cd6 Cd 0.5790 0.8840 0.0000
Cd7 Cd 0.9210 0.3840 0.0000
Cd8 Cd 0.9548 0.9238 0.0000
Bi1 Bi 0.0153 0.2338 0.5000
Bi2 Bi 0.2393 0.3841 0.5000
Bi3 Bi 0.2607 0.8841 0.5000
Bi4 Bi 0.4847 0.7338 0.5000
Bi5 Bi 0.5153 0.2662 0.5000
Bi6 Bi 0.7393 0.1159 0.5000
Bi7 Bi 0.7607 0.6159 0.5000
Bi8 Bi 0.9847 0.7662 0.5000
Sb1 Sb 0.2264 0.4922 0.0000
Sb2 Sb 0.2290 0.2342 0.0000
Sb3 Sb 0.2710 0.7342 0.0000
Sb4 Sb 0.2736 0.9922 0.0000
Sb5 Sb 0.7264 0.0078 0.0000
Sb6 Sb 0.7290 0.2658 0.0000
Sb7 Sb 0.7710 0.7658 0.0000
Sb8 Sb 0.7736 0.5078 0.0000
O1 O 0.0108 0.3602 0.5000
O2 O 0.0155 0.8865 0.5000
O3 O 0.4845 0.3865 0.5000
O4 O 0.4892 0.8602 0.5000
O5 O 0.5108 0.1398 0.5000
O6 O 0.5155 0.6135 0.5000
O7 O 0.9845 0.1135 0.5000
O8 O 0.9892 0.6398 0.5000
```

Entry 9:
CdBiSbO: theoretical XRD peak list (a wavelength of 1.5418 Å), based on the GGA-PBE geometry in OQMD.
No peak broadening, texture or thermal motion is included.

The 10 most intense peaks (2θ = 15–90°), sorted by position:
2θ (°), d (Å), intensity
21.66, 4.102, 207
24.73, 3.601, 203
28.14, 3.171, 303
28.40, 3.143, 537
31.45, 2.845, 366
32.50, 2.755, 1000
33.69, 2.661, 279
34.36, 2.610, 530
44.16, 2.051, 206
53.56, 1.711, 188

Structural model:
```
data_CdBiSbO
_symmetry_space_group_name_H-M 'P 1'
_symmetry_Int_Tables_number 1
_cell_length_a 6.4400
_cell_length_b 6.8394
_cell_length_c 8.4705
_cell_angle_alpha 90.00
_cell_angle_beta 90.00
_cell_angle_gamma 90.00
loop_
_symmetry_equiv_pos_as_xyz
'x,y,z'
loop_
_atom_site_label
_atom_site_type_symbol
_atom_site_fract_x
_atom_site_fract_y
_atom_site_fract_z
Cd1 Cd 0.1114 0.0253 0.2358
Cd2 Cd 0.3886 0.9747 0.7358
Cd3 Cd 0.6114 0.4747 0.7642
Cd4 Cd 0.8886 0.5253 0.2642
Bi1 Bi 0.0760 0.3300 0.8582
Bi2 Bi 0.4240 0.6700 0.3582
Bi3 Bi 0.5760 0.1700 0.1418
Bi4 Bi 0.9240 0.8300 0.6418
Sb1 Sb 0.2383 0.7243 0.9944
Sb2 Sb 0.2617 0.2757 0.4944
Sb3 Sb 0.7383 0.7757 0.0056
Sb4 Sb 0.7617 0.2243 0.5056
O1 O 0.0651 0.7567 0.4034
O2 O 0.4349 0.2433 0.9034
O3 O 0.5651 0.7433 0.5966
O4 O 0.9349 0.2567 0.0966
```

Entry 10:
Cd2BiSbO6: theoretical XRD peak list (a wavelength of 1.5418 Å), based on the GGA-PBE geometry in OQMD.
No peak broadening, texture or thermal motion is included.

The 10 most intense peaks (2θ = 15–90°), sorted by position:
2θ (°), d (Å), intensity
20.24, 4.388, 108
29.45, 3.033, 459
29.93, 2.985, 1000
32.08, 2.790, 228
44.54, 2.034, 144
45.55, 1.992, 160
49.37, 1.846, 179
55.86, 1.646, 162
59.92, 1.544, 135
60.10, 1.540, 135

Structural model:
```
data_Cd2BiSbO6
_symmetry_space_group_name_H-M 'P 1'
_symmetry_Int_Tables_number 1
_cell_length_a 7.3916
_cell_length_b 7.3916
_cell_length_c 5.5804
_cell_angle_alpha 90.00
_cell_angle_beta 90.00
_cell_angle_gamma 107.08
loop_
_symmetry_equiv_pos_as_xyz
'x,y,z'
loop_
_atom_site_label
_atom_site_type_symbol
_atom_site_fract_x
_atom_site_fract_y
_atom_site_fract_z
Cd1 Cd 0.0954 0.2988 0.0000
Cd2 Cd 0.2988 0.0954 0.5000
Cd3 Cd 0.7012 0.9046 0.0000
Cd4 Cd 0.9046 0.7012 0.5000
Bi1 Bi 0.4042 0.5958 0.5105
Bi2 Bi 0.5958 0.4042 0.0105
Sb1 Sb 0.1813 0.8187 0.9703
Sb2 Sb 0.8187 0.1813 0.4703
O1 O 0.0364 0.9636 0.8234
O2 O 0.0742 0.5784 0.8247
O3 O 0.1955 0.8045 0.3113
O4 O 0.3409 0.3510 0.2490
O5 O 0.3510 0.3409 0.7490
O6 O 0.4216 0.9258 0.8247
O7 O 0.5784 0.0742 0.3247
O8 O 0.6490 0.6591 0.2490
O9 O 0.6591 0.6490 0.7490
O10 O 0.8045 0.1955 0.8113
O11 O 0.9258 0.4216 0.3247
O12 O 0.9636 0.0364 0.3234
```

Entry 11:
CdBi4PbSe8: theoretical XRD peak list (a wavelength of 1.5418 Å), based on the GGA-PBE geometry in OQMD.
No peak broadening, texture or thermal motion is included.

The 10 most intense peaks (2θ = 15–90°), sorted by position:
2θ (°), d (Å), intensity
22.63, 3.929, 267
22.80, 3.900, 403
24.01, 3.706, 318
28.67, 3.114, 867
30.05, 2.974, 1000
36.21, 2.481, 345
41.66, 2.168, 321
41.92, 2.155, 254
42.96, 2.105, 457
44.67, 2.029, 318

Structural model:
```
data_CdBi4PbSe8
_symmetry_space_group_name_H-M 'P 1'
_symmetry_Int_Tables_number 1
_cell_length_a 7.3314
_cell_length_b 7.3314
_cell_length_c 15.7434
_cell_angle_alpha 114.87
_cell_angle_beta 114.87
_cell_angle_gamma 33.39
loop_
_symmetry_equiv_pos_as_xyz
'x,y,z'
loop_
_atom_site_label
_atom_site_type_symbol
_atom_site_fract_x
_atom_site_fract_y
_atom_site_fract_z
Cd1 Cd 0.0000 0.0000 0.0000
Bi1 Bi 0.2170 0.2170 0.8693
Bi2 Bi 0.4998 0.4998 0.5000
Bi3 Bi 0.7839 0.7839 0.1353
Bi4 Bi 0.8483 0.8483 0.6360
Pb1 Pb 0.1405 0.1405 0.3620
Se1 Se 0.1654 0.1654 0.1714
Se2 Se 0.1673 0.1673 0.5672
Se3 Se 0.3799 0.3799 0.0483
Se4 Se 0.4794 0.4794 0.3102
Se5 Se 0.5017 0.5017 0.6951
Se6 Se 0.6224 0.6224 0.9534
Se7 Se 0.8334 0.8334 0.8284
Se8 Se 0.8384 0.8384 0.4490
```

Entry 12:
Sr3Cd2Bi2Sb2: theoretical XRD peak list (a wavelength of 1.5418 Å), based on the GGA-PBE geometry in OQMD.
No peak broadening, texture or thermal motion is included.

The 10 most intense peaks (2θ = 15–90°), sorted by position:
2θ (°), d (Å), intensity
21.90, 4.059, 235
24.27, 3.668, 169
24.75, 3.597, 159
26.55, 3.357, 147
30.53, 2.928, 195
30.80, 2.903, 1000
37.27, 2.413, 288
40.48, 2.228, 185
41.62, 2.170, 138
63.25, 1.470, 185

Structural model:
```
data_Sr3Cd2Bi2Sb2
_symmetry_space_group_name_H-M 'P 1'
_symmetry_Int_Tables_number 1
_cell_length_a 9.1082
_cell_length_b 9.1082
_cell_length_c 7.5398
_cell_angle_alpha 111.93
_cell_angle_beta 111.93
_cell_angle_gamma 30.72
loop_
_symmetry_equiv_pos_as_xyz
'x,y,z'
loop_
_atom_site_label
_atom_site_type_symbol
_atom_site_fract_x
_atom_site_fract_y
_atom_site_fract_z
Sr1 Sr 0.0000 0.0000 0.0000
Sr2 Sr 0.1325 0.1325 0.6020
Sr3 Sr 0.8675 0.8675 0.3980
Cd1 Cd 0.3318 0.3318 0.0201
Cd2 Cd 0.6682 0.6682 0.9799
Bi1 Bi 0.2114 0.2114 0.2355
Bi2 Bi 0.7886 0.7886 0.7645
Sb1 Sb 0.4960 0.4960 0.6895
Sb2 Sb 0.5040 0.5040 0.3105
```

Entry 13:
CdBi2Se4: theoretical XRD peak list (a wavelength of 1.5418 Å), based on the GGA-PBE geometry in OQMD.
No peak broadening, texture or thermal motion is included.

The 10 most intense peaks (2θ = 15–90°), sorted by position:
2θ (°), d (Å), intensity
23.18, 3.838, 254
23.30, 3.818, 263
24.19, 3.679, 255
28.88, 3.091, 980
30.34, 2.946, 1000
33.02, 2.713, 358
36.99, 2.430, 272
42.61, 2.122, 310
43.17, 2.096, 365
45.48, 1.994, 254

Structural model:
```
data_CdBi2Se4
_symmetry_space_group_name_H-M 'P 1'
_symmetry_Int_Tables_number 1
_cell_length_a 7.2798
_cell_length_b 7.2798
_cell_length_c 15.3726
_cell_angle_alpha 115.43
_cell_angle_beta 115.43
_cell_angle_gamma 33.46
loop_
_symmetry_equiv_pos_as_xyz
'x,y,z'
loop_
_atom_site_label
_atom_site_type_symbol
_atom_site_fract_x
_atom_site_fract_y
_atom_site_fract_z
Cd1 Cd 0.0000 0.0000 0.0000
Cd2 Cd 0.0000 0.0000 0.5000
Bi1 Bi 0.2210 0.2210 0.8722
Bi2 Bi 0.3489 0.3489 0.6375
Bi3 Bi 0.6511 0.6511 0.3625
Bi4 Bi 0.7790 0.7790 0.1278
Se1 Se 0.0062 0.0062 0.6763
Se2 Se 0.1702 0.1702 0.1799
Se3 Se 0.3320 0.3320 0.4513
Se4 Se 0.3920 0.3920 0.0617
Se5 Se 0.6080 0.6080 0.9383
Se6 Se 0.6680 0.6680 0.5487
Se7 Se 0.8298 0.8298 0.8201
Se8 Se 0.9938 0.9938 0.3237
```